# 1
This entry pairs a crystal structure of Sr2B5H2O11 with its computed powder diffractogram. Radiation: Cu Kα, 1.54184 Å. Structure: a crystal structure in the Materials Project, relaxed with PBE.

Structure:
```
Sr2B5H2O11
1.0
5.138 -4.079 0.000
5.138 4.079 0.000
-3.897 0.000 5.088
Sr B H O
2 5 2 11
Direct
0.208 0.208 0.419
0.792 0.792 0.581
0.303 0.233 0.007
0.620 0.380 0.000
0.712 0.138 0.244
0.767 0.697 0.993
0.862 0.288 0.756
0.259 0.681 0.220
0.319 0.741 0.780
0.075 0.219 0.952
0.203 0.657 0.602
0.343 0.797 0.398
0.369 0.345 0.916
0.461 0.133 0.172
0.655 0.631 0.084
0.661 0.235 0.765
0.765 0.339 0.235
0.781 0.925 0.048
0.862 0.138 0.500
0.867 0.539 0.828
```

Top 10 peaks for 2θ = 15–90°, low angle first:
2θ/deg	I_rel
15.4	41
17.8	43
21.8	77
27.9	100
28.3	66
31.0	91
31.8	29
42.5	34
42.6	43
45.0	26



# 2
This entry pairs a crystal structure of TmB2HO5 with its computed powder diffractogram. Radiation: Cu Kα, 1.54184 Å. Structure: a crystal structure in the Materials Project, relaxed with PBE.

Structure:
```
TmB2HO5
1.0
3.376 -4.827 0.000
3.376 4.827 0.000
-0.138 0.000 11.192
Tm B H O
4 8 4 20
Direct
0.168 0.324 0.448
0.324 0.168 0.948
0.676 0.832 0.052
0.832 0.676 0.552
0.132 0.387 0.726
0.151 0.351 0.129
0.351 0.151 0.629
0.387 0.132 0.226
0.613 0.868 0.774
0.649 0.849 0.371
0.849 0.649 0.871
0.868 0.613 0.274
0.137 0.489 0.909
0.489 0.137 0.409
0.511 0.863 0.591
0.863 0.511 0.091
0.015 0.841 0.928
0.048 0.465 0.830
0.059 0.445 0.620
0.159 0.985 0.572
0.252 0.285 0.243
0.285 0.252 0.743
0.318 0.510 0.055
0.445 0.059 0.120
0.465 0.048 0.330
0.490 0.682 0.445
0.510 0.318 0.555
0.535 0.952 0.670
0.555 0.941 0.880
0.682 0.490 0.945
0.715 0.748 0.257
0.748 0.715 0.757
0.841 0.015 0.428
0.941 0.555 0.380
0.952 0.535 0.170
0.985 0.159 0.072
```

Top 10 peaks for 2θ = 15–90°, low angle first:
2θ/deg	I_rel
15.8	100
17.8	48
18.0	40
18.4	46
26.4	100
30.3	61
31.8	97
35.8	36
36.1	36
44.6	41



# 3
This entry pairs a crystal structure of YB6H3O12 with its computed powder diffractogram. Radiation: Cu Kα, 1.54184 Å. Structure: a crystal structure in the Materials Project, relaxed with PBE.

Structure:
```
YB6H3O12
1.0
4.264 2.462 6.871
-4.264 2.462 6.871
0.000 -4.924 6.871
Y B H O
2 12 6 24
Direct
0.000 0.000 0.000
0.500 0.500 0.500
0.100 0.877 0.622
0.122 0.377 0.600
0.127 0.712 0.413
0.212 0.627 0.913
0.377 0.600 0.122
0.413 0.127 0.712
0.600 0.122 0.377
0.622 0.100 0.877
0.627 0.913 0.212
0.712 0.413 0.127
0.877 0.622 0.100
0.913 0.212 0.627
0.350 0.998 0.998
0.498 0.498 0.850
0.498 0.850 0.498
0.850 0.498 0.498
0.998 0.350 0.998
0.998 0.998 0.350
0.003 0.063 0.535
0.017 0.898 0.307
0.035 0.563 0.503
0.058 0.228 0.663
0.063 0.535 0.003
0.140 0.829 0.784
0.163 0.728 0.558
0.228 0.663 0.058
0.284 0.329 0.640
0.307 0.017 0.898
0.329 0.640 0.284
0.398 0.517 0.807
0.503 0.035 0.563
0.517 0.807 0.398
0.535 0.003 0.063
0.558 0.163 0.728
0.563 0.503 0.035
0.640 0.284 0.329
0.663 0.058 0.228
0.728 0.558 0.163
0.784 0.140 0.829
0.807 0.398 0.517
0.829 0.784 0.140
0.898 0.307 0.017
```

Top 10 peaks for 2θ = 15–90°, low angle first:
2θ/deg	I_rel
21.0	35
24.6	50
25.6	100
29.8	77
33.5	56
36.5	33
36.6	68
42.8	45
45.3	60
50.4	35



# 4
This entry pairs a crystal structure of Zn8B3H3O14 with its computed powder diffractogram. Radiation: Cu Kα, 1.54184 Å. Structure: a crystal structure in the Materials Project, relaxed with PBE.

Structure:
```
Zn8B3H3O14
1.0
4.119 2.378 5.959
-4.119 2.378 5.959
0.000 -4.757 5.959
Zn B H O
8 3 3 14
Direct
0.017 0.456 0.271
0.092 0.092 0.092
0.271 0.017 0.456
0.456 0.271 0.017
0.544 0.983 0.729
0.729 0.544 0.983
0.908 0.908 0.908
0.983 0.729 0.544
0.000 0.298 0.702
0.298 0.702 0.000
0.702 0.000 0.298
0.360 0.640 0.500
0.500 0.360 0.640
0.640 0.500 0.360
0.000 0.468 0.532
0.042 0.111 0.681
0.111 0.681 0.042
0.204 0.204 0.204
0.243 0.757 0.500
0.319 0.889 0.958
0.468 0.532 0.000
0.500 0.243 0.757
0.532 0.000 0.468
0.681 0.042 0.111
0.757 0.500 0.243
0.796 0.796 0.796
0.889 0.958 0.319
0.958 0.319 0.889
```

Top 10 peaks for 2θ = 15–90°, low angle first:
2θ/deg	I_rel
15.9	51
21.6	52
25.5	38
30.0	44
32.1	33
34.7	77
37.2	33
39.0	100
53.2	42
62.3	35